# 1
Starting from a PBE-relaxed structure, the powder X-ray diffraction pattern of Pr7Sm3Dy was calculated for Cu Kα X-rays.
No peak broadening, texture or thermal motion is included.

Largest 10 diffraction maxima, low angle first, 10° ≤ 2θ ≤ 80°:
- 30.08°, I = 100
- 30.43°, I = 32
- 34.97°, I = 67
- 50.06°, I = 24
- 50.52°, I = 23
- 59.51°, I = 14
- 59.72°, I = 28
- 60.13°, I = 14
- 62.52°, I = 12
- 73.87°, I = 8

Structural model:
Cell: 7.2885 7.2885 8.8124 Å, 90.00 90.00 120.00°
Space group P3m1 (No. 156)
Asymmetric unit:
Pr  0.0000  0.0000  0.0000 [1 per cell]
Pr  0.1668  0.3336  0.6681 [3 per cell]
Pr  0.5003  0.0006  0.0121 [3 per cell]
Sm  0.3346  0.1673  0.3421 [3 per cell]
Dy  0.6667  0.3333  0.6799 [1 per cell]



# 2
Starting from a PBE-relaxed structure, the powder X-ray diffraction pattern of PrSm8Dy3 was calculated for Cu Kα X-rays.
No peak broadening, texture or thermal motion is included.

Largest 10 diffraction maxima, low angle first, 10° ≤ 2θ ≤ 80°:
- 21.91°, I = 16
- 27.16°, I = 18
- 30.91°, I = 38
- 31.32°, I = 100
- 31.46°, I = 28
- 35.17°, I = 38
- 44.69°, I = 21
- 50.71°, I = 17
- 55.24°, I = 20
- 65.32°, I = 17

Structural model:
Cell: 6.559 11.388 11.572 Å, 90.00 90.00 90.00°
Space group I222 (No. 23)
Asymmetric unit:
Pr  0.000  0.000  0.000 [2 per cell]
Sm  0.000  0.166  0.251 [8 per cell]
Sm  0.244  0.259  0.999 [8 per cell]
Dy  0.000  0.000  0.500 [2 per cell]
Dy  0.000  0.500  0.241 [4 per cell]



# 3
Starting from a PBE-relaxed structure, the powder X-ray diffraction pattern of Pr2SmDy12 was calculated for Cu Kα X-rays.
No peak broadening, texture or thermal motion is included.

Largest 10 diffraction maxima, low angle first, 10° ≤ 2θ ≤ 80°:
- 29.06°, I = 29
- 29.69°, I = 68
- 30.66°, I = 99
- 31.57°, I = 100
- 31.72°, I = 29
- 32.87°, I = 75
- 33.16°, I = 60
- 37.00°, I = 67
- 58.38°, I = 28
- 61.85°, I = 31

Structural model:
Cell: 7.072 11.336 24.857 Å, 90.00 90.00 90.00°
Space group Cmme (No. 67)
Asymmetric unit:
Pr  0.000  0.250  0.229 [4 per cell]
Pr  0.000  0.250  0.766 [4 per cell]
Sm  0.000  0.250  0.500 [4 per cell]
Dy  0.000  0.001  0.579 [8 per cell]
Dy  0.000  0.014  0.061 [8 per cell]
Dy  0.239  0.250  0.916 [8 per cell]
Dy  0.249  0.250  0.373 [8 per cell]
Dy  0.250  0.000  0.172 [8 per cell]
Dy  0.250  0.000  0.301 [8 per cell]